Starting from the PBE geometry in Alexandria, the PXRD pattern of SmHo4Tl4 was simulated for copper Kα.
Kinematic intensities with the Lorentz-polarization factor, no thermal factor.

Crystal structure
Cell: 9.4853 9.4853 5.8472 Å, 90.00 90.00 90.00°
Atoms (fractional coordinates):
Sm: 0.2500 0.2500 0.2500
Sm: 0.7500 0.7500 0.7500
Ho: 0.0941 0.8287 0.6407
Ho: 0.1713 0.5941 0.1407
Ho: 0.3287 0.9059 0.1407
Ho: 0.4059 0.6713 0.6407
Ho: 0.5941 0.3287 0.3593
Ho: 0.6713 0.0941 0.8593
Ho: 0.8287 0.4059 0.8593
Ho: 0.9059 0.1713 0.3593
Tl: 0.0385 0.1452 0.8513
Tl: 0.1452 0.4615 0.6487
Tl: 0.3548 0.0385 0.6487
Tl: 0.4615 0.3548 0.8513
Tl: 0.5385 0.6452 0.1487
Tl: 0.6452 0.9615 0.3513
Tl: 0.8548 0.5385 0.3513
Tl: 0.9615 0.8548 0.1487

The 10 most intense peaks (2θ from 10° to 90°), by angle:
2θ = 29.8°, intensity 100; 2θ = 30.7°, intensity 42; 2θ = 32.0°, intensity 59; 2θ = 32.2°, intensity 74; 2θ = 37.4°, intensity 68; 2θ = 37.5°, intensity 80; 2θ = 54.4°, intensity 22; 2θ = 58.0°, intensity 24; 2θ = 61.5°, intensity 31; 2θ = 64.9°, intensity 25



Starting from the PBE geometry in Alexandria, the PXRD pattern of K5As2Au was simulated for copper Kα.
Kinematic intensities with the Lorentz-polarization factor, no thermal factor.

Crystal structure
Cell: 5.7817 5.7817 19.4558 Å, 90.00 90.00 120.00°
Atoms (fractional coordinates):
K: 0.0000 0.0000 0.1454
K: 0.0000 0.0000 0.3546
K: 0.0000 0.0000 0.6454
K: 0.0000 0.0000 0.8546
K: 0.3333 0.6667 0.0493
K: 0.3333 0.6667 0.2500
K: 0.3333 0.6667 0.4507
K: 0.6667 0.3333 0.5493
K: 0.6667 0.3333 0.7500
K: 0.6667 0.3333 0.9507
As: 0.3333 0.6667 0.6206
As: 0.3333 0.6667 0.8794
As: 0.6667 0.3333 0.1206
As: 0.6667 0.3333 0.3794
Au: 0.3333 0.6667 0.7500
Au: 0.6667 0.3333 0.2500

The 10 most intense peaks (2θ from 10° to 90°), by angle:
2θ = 17.7°, intensity 30; 2θ = 18.3°, intensity 94; 2θ = 30.9°, intensity 100; 2θ = 32.3°, intensity 19; 2θ = 32.9°, intensity 22; 2θ = 36.2°, intensity 19; 2θ = 37.0°, intensity 46; 2θ = 49.0°, intensity 42; 2θ = 55.0°, intensity 18; 2θ = 59.1°, intensity 19



Starting from the PBE geometry in Alexandria, the PXRD pattern of NiAgBr4 was simulated for copper Kα.
Kinematic intensities with the Lorentz-polarization factor, no thermal factor.

Crystal structure
Cell: 7.2065 3.6861 7.3544 Å, 90.00 117.36 90.00°
Atoms (fractional coordinates):
Ni: 0.0000 0.0000 0.0000
Ag: 0.5000 0.5000 0.0000
Br: 0.2096 0.0000 0.7896
Br: 0.2236 0.5000 0.2257
Br: 0.7764 0.5000 0.7743
Br: 0.7904 0.0000 0.2104

The 10 most intense peaks (2θ from 10° to 90°), by angle:
2θ = 13.6°, intensity 100; 2θ = 27.9°, intensity 22; 2θ = 28.7°, intensity 52; 2θ = 34.0°, intensity 90; 2θ = 37.8°, intensity 23; 2θ = 44.0°, intensity 15; 2θ = 44.7°, intensity 29; 2θ = 45.4°, intensity 29; 2θ = 48.1°, intensity 15; 2θ = 49.4°, intensity 18



Starting from the PBE geometry in Alexandria, the PXRD pattern of U4Ga12Ag was simulated for copper Kα.
Kinematic intensities with the Lorentz-polarization factor, no thermal factor.

Crystal structure
Cell: 7.5020 7.5020 7.5020 Å, 109.47 109.47 109.47°
Atoms (fractional coordinates):
U: 0.0000 0.0000 0.5000
U: 0.0000 0.5000 0.0000
U: 0.5000 0.0000 0.0000
U: 0.5000 0.5000 0.5000
Ga: 0.0000 0.3012 0.3012
Ga: 0.0000 0.6988 0.6988
Ga: 0.2500 0.5000 0.7500
Ga: 0.2500 0.7500 0.5000
Ga: 0.3012 0.0000 0.3012
Ga: 0.3012 0.3012 0.0000
Ga: 0.5000 0.2500 0.7500
Ga: 0.5000 0.7500 0.2500
Ga: 0.6988 0.0000 0.6988
Ga: 0.6988 0.6988 0.0000
Ga: 0.7500 0.2500 0.5000
Ga: 0.7500 0.5000 0.2500
Ag: 0.0000 0.0000 0.0000

The 10 most intense peaks (2θ from 10° to 90°), by angle:
2θ = 20.5°, intensity 25; 2θ = 29.2°, intensity 62; 2θ = 35.9°, intensity 100; 2θ = 41.7°, intensity 63; 2θ = 46.9°, intensity 19; 2θ = 51.7°, intensity 20; 2θ = 60.5°, intensity 38; 2θ = 68.5°, intensity 17; 2θ = 72.4°, intensity 32; 2θ = 83.5°, intensity 17



Starting from the PBE geometry in Alexandria, the PXRD pattern of FeIrRh2 was simulated for copper Kα.
Kinematic intensities with the Lorentz-polarization factor, no thermal factor.

Crystal structure
Cell: 2.7130 2.7130 7.4575 Å, 90.00 90.00 90.00°
Atoms (fractional coordinates):
Fe: 0.0000 0.0000 0.0000
Ir: 0.5000 0.5000 0.2405
Rh: 0.0000 0.0000 0.4978
Rh: 0.5000 0.5000 0.7596

The 10 most intense peaks (2θ from 10° to 90°), by angle:
2θ = 11.9°, intensity 18; 2θ = 35.2°, intensity 8; 2θ = 41.1°, intensity 100; 2θ = 47.4°, intensity 33; 2θ = 48.8°, intensity 15; 2θ = 69.3°, intensity 11; 2θ = 70.4°, intensity 19; 2θ = 83.9°, intensity 25; 2θ = 86.0°, intensity 11; 2θ = 89.3°, intensity 11



Starting from the PBE geometry in Alexandria, the PXRD pattern of La4Nd4Dy3 was simulated for copper Kα.
Kinematic intensities with the Lorentz-polarization factor, no thermal factor.

Crystal structure
Cell: 10.8738 6.7635 6.7635 Å, 51.04 90.00 90.00°
Atoms (fractional coordinates):
La: 0.0000 0.0000 0.0000
La: 0.1988 0.8035 0.8035
La: 0.5000 0.9334 0.9334
La: 0.8012 0.8035 0.8035
Nd: 0.0000 0.5878 0.5878
Nd: 0.3026 0.1505 0.1505
Nd: 0.5000 0.6573 0.6573
Nd: 0.6974 0.1505 0.1505
Dy: 0.0000 0.2963 0.2963
Dy: 0.2903 0.4546 0.4546
Dy: 0.7097 0.4546 0.4546

The 10 most intense peaks (2θ from 10° to 90°), by angle:
2θ = 29.9°, intensity 38; 2θ = 30.4°, intensity 19; 2θ = 30.7°, intensity 40; 2θ = 31.5°, intensity 100; 2θ = 32.9°, intensity 14; 2θ = 43.8°, intensity 14; 2θ = 51.6°, intensity 12; 2θ = 55.0°, intensity 29; 2θ = 61.1°, intensity 16; 2θ = 61.2°, intensity 14



Starting from the PBE geometry in Alexandria, the PXRD pattern of HfCdO2 was simulated for copper Kα.
Kinematic intensities with the Lorentz-polarization factor, no thermal factor.

Crystal structure
Cell: 6.3871 6.3871 6.3871 Å, 60.00 60.00 60.00°
Atoms (fractional coordinates):
Hf: 0.1250 0.1250 0.1250
Hf: 0.8750 0.8750 0.8750
Cd: 0.3750 0.3750 0.3750
Cd: 0.6250 0.6250 0.6250
O: 0.0000 0.0000 0.0000
O: 0.0000 0.0000 0.5000
O: 0.0000 0.5000 0.0000
O: 0.5000 0.0000 0.0000

The 10 most intense peaks (2θ from 10° to 90°), by angle:
2θ = 17.0°, intensity 9; 2θ = 27.9°, intensity 100; 2θ = 39.9°, intensity 15; 2θ = 43.7°, intensity 3; 2θ = 49.4°, intensity 41; 2θ = 57.7°, intensity 15; 2θ = 65.3°, intensity 18; 2θ = 72.5°, intensity 4; 2θ = 79.4°, intensity 20; 2θ = 86.1°, intensity 2



Starting from the PBE geometry in Alexandria, the PXRD pattern of Cs2Np2S5 was simulated for copper Kα.
Kinematic intensities with the Lorentz-polarization factor, no thermal factor.

Crystal structure
Cell: 9.3184 9.3184 7.6302 Å, 90.00 90.00 48.31°
Atoms (fractional coordinates):
Cs: 0.2060 0.2060 0.0000
Cs: 0.2940 0.2940 0.5000
Cs: 0.7060 0.7060 0.5000
Cs: 0.7940 0.7940 0.0000
Np: 0.1643 0.8357 0.6644
Np: 0.3357 0.6643 0.1644
Np: 0.6643 0.3357 0.8356
Np: 0.8357 0.1643 0.3356
S: 0.0000 0.0000 0.0000
S: 0.0436 0.7572 0.3570
S: 0.2428 0.9564 0.3570
S: 0.2572 0.5436 0.8570
S: 0.4564 0.7428 0.8570
S: 0.5000 0.5000 0.5000
S: 0.5436 0.2572 0.1430
S: 0.7428 0.4564 0.1430
S: 0.7572 0.0436 0.6430
S: 0.9564 0.2428 0.6430

The 10 most intense peaks (2θ from 10° to 90°), by angle:
2θ = 10.4°, intensity 100; 2θ = 20.9°, intensity 53; 2θ = 22.8°, intensity 48; 2θ = 25.6°, intensity 91; 2θ = 28.2°, intensity 41; 2θ = 30.6°, intensity 48; 2θ = 33.7°, intensity 48; 2θ = 37.3°, intensity 40; 2θ = 37.7°, intensity 61; 2θ = 46.1°, intensity 44



Starting from the PBE geometry in Alexandria, the PXRD pattern of V2FeCo8 was simulated for copper Kα.
Kinematic intensities with the Lorentz-polarization factor, no thermal factor.

Crystal structure
Cell: 6.1485 6.1485 6.2208 Å, 119.26 119.26 38.46°
Atoms (fractional coordinates):
V: 0.2211 0.2211 0.1415
V: 0.7789 0.7789 0.8585
Fe: 0.5000 0.5000 0.5000
Co: 0.0467 0.0467 0.2250
Co: 0.1385 0.1385 0.6832
Co: 0.3237 0.3237 0.5886
Co: 0.4041 0.4041 0.0543
Co: 0.5959 0.5959 0.9457
Co: 0.6763 0.6763 0.4114
Co: 0.8615 0.8615 0.3168
Co: 0.9533 0.9533 0.7750

The 8 most intense peaks (2θ from 10° to 90°), by angle:
2θ = 37.7°, intensity 1; 2θ = 44.8°, intensity 52; 2θ = 45.5°, intensity 100; 2θ = 65.2°, intensity 15; 2θ = 67.4°, intensity 7; 2θ = 83.0°, intensity 15; 2θ = 83.2°, intensity 14; 2θ = 84.6°, intensity 14



Starting from the PBE geometry in Alexandria, the PXRD pattern of Be6CuNi was simulated for copper Kα.
Kinematic intensities with the Lorentz-polarization factor, no thermal factor.

Crystal structure
Cell: 3.6792 4.9813 7.5513 Å, 90.00 90.00 90.00°
Atoms (fractional coordinates):
Be: 0.0000 0.0000 0.0000
Be: 0.0000 0.2299 0.2555
Be: 0.0000 0.2701 0.7555
Be: 0.0000 0.5000 0.5000
Be: 0.0000 0.7299 0.7555
Be: 0.0000 0.7701 0.2555
Be: 0.5000 0.0000 0.3114
Be: 0.5000 0.2361 0.0507
Be: 0.5000 0.2639 0.5507
Be: 0.5000 0.5000 0.8114
Be: 0.5000 0.7361 0.5507
Be: 0.5000 0.7639 0.0507
Cu: 0.5000 0.0000 0.7921
Cu: 0.5000 0.5000 0.2921
Ni: 0.0000 0.0000 0.5148
Ni: 0.0000 0.5000 0.0148

The 10 most intense peaks (2θ from 10° to 90°), by angle:
2θ = 21.4°, intensity 94; 2θ = 32.5°, intensity 100; 2θ = 34.0°, intensity 72; 2θ = 36.1°, intensity 32; 2θ = 40.1°, intensity 33; 2θ = 47.4°, intensity 17; 2θ = 48.2°, intensity 21; 2θ = 49.6°, intensity 23; 2θ = 50.4°, intensity 84; 2θ = 54.6°, intensity 20



Starting from the PBE geometry in Alexandria, the PXRD pattern of Na2TmCd6 was simulated for copper Kα.
Kinematic intensities with the Lorentz-polarization factor, no thermal factor.

Crystal structure
Cell: 8.7400 8.7400 3.3135 Å, 90.00 90.00 120.00°
Atoms (fractional coordinates):
Na: 0.3333 0.6667 0.0000
Na: 0.6667 0.3333 0.0000
Tm: 0.0000 0.0000 0.0000
Cd: 0.0000 0.3339 0.5000
Cd: 0.0000 0.6661 0.5000
Cd: 0.3339 0.0000 0.5000
Cd: 0.3339 0.3339 0.5000
Cd: 0.6661 0.0000 0.5000
Cd: 0.6661 0.6661 0.5000

The 10 most intense peaks (2θ from 10° to 90°), by angle:
2θ = 11.7°, intensity 34; 2θ = 26.9°, intensity 19; 2θ = 34.0°, intensity 87; 2θ = 35.6°, intensity 100; 2θ = 45.2°, intensity 27; 2θ = 50.0°, intensity 28; 2θ = 62.9°, intensity 28; 2θ = 63.9°, intensity 17; 2θ = 67.7°, intensity 29; 2θ = 89.6°, intensity 14



Starting from the PBE geometry in Alexandria, the PXRD pattern of Te4W3S2 was simulated for copper Kα.
Kinematic intensities with the Lorentz-polarization factor, no thermal factor.

Crystal structure
Cell: 3.4214 3.4214 30.6607 Å, 90.00 90.00 120.00°
Atoms (fractional coordinates):
Te: 0.0000 0.0000 0.1730
Te: 0.0000 0.0000 0.2952
Te: 0.0000 0.0000 0.7048
Te: 0.0000 0.0000 0.8270
W: 0.0000 0.0000 0.0000
W: 0.6667 0.3333 0.2341
W: 0.6667 0.3333 0.7659
S: 0.6667 0.3333 0.0489
S: 0.6667 0.3333 0.9511

The 10 most intense peaks (2θ from 10° to 90°), by angle:
2θ = 11.5°, intensity 100; 2θ = 14.4°, intensity 15; 2θ = 30.2°, intensity 37; 2θ = 32.4°, intensity 17; 2θ = 35.0°, intensity 64; 2θ = 36.6°, intensity 52; 2θ = 42.4°, intensity 26; 2θ = 44.6°, intensity 32; 2θ = 53.6°, intensity 30; 2θ = 76.8°, intensity 16